Record 1
This entry pairs a crystal structure of NaBiTePOs with its calculated XRD peak list. Radiation: λ = 1.5418 Å (Cu Kα). Structure: a structure optimized by DFT (GGA-PBE).
Lines closer than 0.1° are merged.

Principal peaks in the range 15 to 90 degrees two-theta, in order of falling intensity:
Position (°2θ)	intensity
25.73	100
15.33	63
33.70	58
31.97	44
43.75	42
17.58	31

Cell and atoms:
Lattice parameters (Å, degrees): 3.629 6.012 6.464 110.43 106.19 90.16
Element x y z (fractional)
Na (0.000, 0.000, 0.000)
Bi (0.235, 0.615, 0.476)
Te (0.487, 0.506, 0.974)
P (0.703, 0.091, 0.404)
Os (0.305, 0.104, 0.610)

Record 2
This entry pairs a crystal structure of NaBiTePOs with its calculated XRD peak list. Radiation: λ = 1.5418 Å (Cu Kα). Structure: a structure optimized by DFT (GGA-PBE).
Lines closer than 0.1° are merged.

Principal peaks in the range 15 to 90 degrees two-theta, in order of falling intensity:
Position (°2θ)	intensity
31.62	100
29.04	96
34.37	77
16.08	66
50.51	55
41.65	50

Cell and atoms:
Lattice parameters (Å, degrees): 3.614 3.614 33.081 90.00 90.00 120.00
Element x y z (fractional)
Na (0.000, 0.000, 0.000)
Na (0.333, 0.667, 0.667)
Na (0.667, 0.333, 0.333)
Bi (0.000, 0.000, 0.252)
Bi (0.333, 0.667, 0.918)
Bi (0.667, 0.333, 0.585)
Te (0.000, 0.000, 0.410)
Te (0.333, 0.667, 0.077)
Te (0.667, 0.333, 0.744)
P (0.000, 0.000, 0.163)
P (0.333, 0.667, 0.830)
P (0.667, 0.333, 0.497)
Os (0.000, 0.000, 0.802)
Os (0.333, 0.667, 0.469)
Os (0.667, 0.333, 0.136)

Record 3
This entry pairs a crystal structure of Na8Bi2P with its calculated XRD peak list. Radiation: λ = 1.5418 Å (Cu Kα). Structure: a structure optimized by DFT (GGA-PBE).
Lines closer than 0.1° are merged.

Principal peaks in the range 15 to 90 degrees two-theta, in order of falling intensity:
Position (°2θ)	intensity
19.64	100
33.41	99
21.53	95
39.41	47
24.55	47
30.66	38

Cell and atoms:
Lattice parameters (Å, degrees): 4.830 7.972 9.457 114.90 104.77 90.01
Element x y z (fractional)
Na (0.000, 0.000, 0.000)
Na (0.056, 0.536, 0.115)
Na (0.202, 0.084, 0.408)
Na (0.350, 0.829, 0.700)
Na (0.407, 0.407, 0.816)
Na (0.611, 0.270, 0.225)
Na (0.703, 0.718, 0.408)
Na (0.795, 0.456, 0.593)
Bi (0.548, 0.815, 0.098)
Bi (0.858, 0.125, 0.717)
P (0.203, 0.466, 0.408)

Record 4
This entry pairs a crystal structure of NaBiPS4 with its calculated XRD peak list. Radiation: λ = 1.5418 Å (Cu Kα). Structure: a structure optimized by DFT (GGA-PBE).
Lines closer than 0.1° are merged.

Principal peaks in the range 15 to 90 degrees two-theta, in order of falling intensity:
Position (°2θ)	intensity
27.40	100
32.74	91
46.96	57
26.88	52
16.18	47
36.05	38

Cell and atoms:
Lattice parameters (Å, degrees): 7.744 7.744 7.744 121.63 118.42 89.98
Element x y z (fractional)
Na (0.000, 0.000, 0.000)
Na (0.500, 0.000, 0.500)
Bi (0.500, 0.000, 0.000)
Bi (0.500, 0.500, 0.500)
P (0.134, 0.384, 0.750)
P (0.866, 0.616, 0.250)
S (0.200, 0.731, 0.470)
S (0.239, 0.262, 0.523)
S (0.239, 0.269, 0.970)
S (0.239, 0.716, 0.977)
S (0.761, 0.284, 0.023)
S (0.761, 0.731, 0.030)
S (0.761, 0.738, 0.477)
S (0.800, 0.269, 0.530)